Simulated X-ray diffraction stick pattern of Na8Zr3Ti3Mn2Si8O34F2 for copper Kα, from a cell relaxed with GGA+U.

Structure:
abc: 5.595 7.146 18.242
angles: 90.22 94.54 90.16
Space group P1 (No. 1)
Unique sites:
Na (0.000, 0.000, 0.000) [1 per cell]
Na (0.007, 0.549, 0.502) [1 per cell]
Na (0.129, 0.775, 0.818) [1 per cell]
Na (0.386, 0.548, 0.677) [1 per cell]
Na (0.500, 0.318, 0.503) [1 per cell]
Na (0.509, 0.768, 0.001) [1 per cell]
Na (0.624, 0.544, 0.319) [1 per cell]
Na (0.887, 0.769, 0.177) [1 per cell]
Zr (0.137, 0.278, 0.822) [1 per cell]
Zr (0.634, 0.037, 0.324) [1 per cell]
Zr (0.876, 0.283, 0.172) [1 per cell]
Ti (0.377, 0.033, 0.670) [1 per cell]
Ti (0.496, 0.270, 0.998) [1 per cell]
Ti (0.992, 0.049, 0.501) [1 per cell]
Mn (0.000, 0.519, 0.001) [1 per cell]
Mn (0.500, 0.796, 0.503) [1 per cell]
Si (0.138, 0.316, 0.356) [1 per cell]
Si (0.142, 0.772, 0.357) [1 per cell]
Si (0.369, 0.546, 0.146) [1 per cell]
Si (0.371, 0.001, 0.146) [1 per cell]
Si (0.636, 0.001, 0.853) [1 per cell]
Si (0.643, 0.545, 0.854) [1 per cell]
Si (0.866, 0.313, 0.648) [1 per cell]
Si (0.867, 0.776, 0.646) [1 per cell]
O (0.109, 0.246, 0.698) [1 per cell]
O (0.115, 0.060, 0.174) [1 per cell]
O (0.116, 0.238, 0.440) [1 per cell]
O (0.120, 0.847, 0.688) [1 per cell]
O (0.130, 0.543, 0.364) [1 per cell]
O (0.134, 0.486, 0.188) [1 per cell]
O (0.169, 0.851, 0.442) [1 per cell]
O (0.197, 0.300, 0.938) [1 per cell]
O (0.302, 0.029, 0.571) [1 per cell]
O (0.342, 0.471, 0.060) [1 per cell]
O (0.381, 0.830, 0.316) [1 per cell]
O (0.385, 0.608, 0.553) [1 per cell]
O (0.388, 0.774, 0.141) [1 per cell]
O (0.391, 0.076, 0.062) [1 per cell]
O (0.395, 0.255, 0.329) [1 per cell]
O (0.396, 0.483, 0.807) [1 per cell]
O (0.402, 0.064, 0.799) [1 per cell]
O (0.606, 0.067, 0.200) [1 per cell]
O (0.607, 0.242, 0.672) [1 per cell]
O (0.610, 0.077, 0.937) [1 per cell]
O (0.614, 0.481, 0.192) [1 per cell]
O (0.624, 0.849, 0.683) [1 per cell]
O (0.632, 0.773, 0.861) [1 per cell]
O (0.664, 0.468, 0.939) [1 per cell]
O (0.697, 0.019, 0.440) [1 per cell]
O (0.806, 0.290, 0.062) [1 per cell]
O (0.842, 0.841, 0.559) [1 per cell]
O (0.873, 0.545, 0.647) [1 per cell]
O (0.882, 0.485, 0.814) [1 per cell]
O (0.886, 0.706, 0.053) [1 per cell]
O (0.888, 0.247, 0.562) [1 per cell]
O (0.896, 0.061, 0.828) [1 per cell]
O (0.897, 0.835, 0.311) [1 per cell]
O (0.902, 0.252, 0.302) [1 per cell]
F (0.151, 0.726, 0.939) [1 per cell]
F (0.652, 0.591, 0.439) [1 per cell]

Most intense lines, 5° ≤ 2θ ≤ 70°, most intense first:
- 30.91 deg, I 100, (1 2 -2)
- 29.47 deg, I 54, (0 0 6)
- 13.32 deg, I 30, (0 1 1)
- 34.37 deg, I 30, (2 0 2)
- 36.42 deg, I 19, (1 -2 4)
- 49.14 deg, I 19, (1 2 -8)

---

Simulated X-ray diffraction stick pattern of Rb2NaMn3F12 for copper Kα, from a cell relaxed with GGA+U.

Structure:
abc: 7.289 7.660 10.363
angles: 89.88 86.65 89.51
Space group P-1 (No. 2)
Unique sites:
Rb (0.018, 0.249, 0.106) [2 per cell]
Rb (0.473, 0.237, 0.361) [2 per cell]
Na (0.208, 0.738, 0.246) [2 per cell]
Mn (0.000, 0.000, 0.500) [1 per cell]
Mn (0.000, 0.500, 0.500) [1 per cell]
Mn (0.311, 0.248, 0.716) [2 per cell]
Mn (0.500, 0.000, 0.000) [1 per cell]
Mn (0.500, 0.500, 0.000) [1 per cell]
F (0.086, 0.733, 0.487) [2 per cell]
F (0.091, 0.268, 0.815) [2 per cell]
F (0.121, 0.033, 0.338) [2 per cell]
F (0.132, 0.453, 0.343) [2 per cell]
F (0.222, 0.055, 0.581) [2 per cell]
F (0.245, 0.432, 0.602) [2 per cell]
F (0.253, 0.549, 0.046) [2 per cell]
F (0.267, 0.934, 0.067) [2 per cell]
F (0.381, 0.054, 0.821) [2 per cell]
F (0.441, 0.446, 0.828) [2 per cell]
F (0.449, 0.233, 0.064) [2 per cell]
F (0.460, 0.771, 0.373) [2 per cell]

Most intense lines, 5° ≤ 2θ ≤ 70°, most intense first:
- 27.98 deg, I 100, (1 0 3)
- 24.61 deg, I 44, (-1 1 2)
- 27.57 deg, I 44, (1 -2 1)
- 27.37 deg, I 41, (1 2 1)
- 29.01 deg, I 37, (0 2 2)
- 27.85 deg, I 33, (1 2 -1)

---

Simulated X-ray diffraction stick pattern of Na5Zr2MnF15 for copper Kα, from a cell relaxed with GGA+U.

Structure:
abc: 21.506 7.805 7.604
angles: 90.00 90.00 90.00
Space group Cmcm (No. 63)
Unique sites:
Na (0.000, 0.000, 0.000) [4 per cell]
Na (0.123, 0.254, 0.250) [8 per cell]
Na (0.242, 0.500, 0.000) [8 per cell]
Zr (0.135, 0.221, 0.750) [8 per cell]
Mn (0.000, 0.500, 0.000) [4 per cell]
F (0.000, 0.390, 0.250) [4 per cell]
F (0.066, 0.300, 0.565) [16 per cell]
F (0.073, 0.009, 0.750) [8 per cell]
F (0.163, 0.477, 0.750) [8 per cell]
F (0.183, 0.240, 0.514) [16 per cell]
F (0.194, 0.012, 0.750) [8 per cell]

Most intense lines, 5° ≤ 2θ ≤ 70°, most intense first:
- 47.53 deg, I 100, (8 2 2)
- 28.76 deg, I 100, (4 0 2)
- 28.26 deg, I 97, (4 2 0)
- 16.79 deg, I 89, (1 1 1)
- 20.48 deg, I 72, (3 1 1)
- 56.50 deg, I 34, (4 2 4)

---

- Which formula does entry 3 have?
  Na5Zr2MnF15